This entry pairs a crystal structure of LaPmZr with its simulated powder diffractogram. Radiation: Cu Ka. Structure: the PBE geometry in Alexandria.
Intensities are scaled so that the largest is 100.

Cell: 3.900 3.900 12.428 Å, 90.00 90.00 90.00°
Space group P4/nmm (No. 129, origin choice 2)
One atom of each set of equivalent atoms:
La (0.250, 0.250, 0.212) x2
Pm (0.250, 0.250, 0.594) x2
Zr (0.250, 0.250, 0.950) x2

Peak list (6 most intense, 2θ = 10–90°, by intensity)
2theta	intensity	hkl
31.5	100	1 0 3
32.5	63	1 1 0
57.3	36	2 1 3
27.0	29	1 0 2
46.6	23	2 0 0
49.4	20	1 1 5